Li4Tc2O5: theoretical powder diffraction line list (Cu Kα X-rays), based on a structure optimized by DFT (PBE).

Crystal structure
```
data_Li4Tc2O5
_cell_length_a 4.1167
_cell_length_b 12.2150
_cell_length_c 4.0889
_cell_angle_alpha 90.00
_cell_angle_beta 90.00
_cell_angle_gamma 90.00
_space_group_name_H-M_alt 'C m m m'
_space_group_IT_number 65
_space_group_name_Hall '-C 2 2'
loop_
_atom_site_label
_atom_site_fract_x
_atom_site_fract_y
_atom_site_fract_z
Li1 0.0000 0.0000 0.0000
Li2 0.0000 0.1774 0.5000
Li3 0.0000 0.5000 0.5000
Tc1 0.0000 0.3249 0.0000
O1 0.0000 0.1501 0.0000
O2 0.0000 0.3389 0.5000
O3 0.0000 0.5000 0.0000
```

Principal peaks in the range 2θ from 5° to 70°, in order of rising 2θ:
two_theta, I/Imax, hkl
14.50, 90, 0 2 0
21.74, 100, 0 0 1
22.80, 43, 1 1 0
26.23, 23, 0 2 1
30.89, 56, 1 3 0
38.09, 41, 1 3 1
43.99, 31, 2 0 0
44.31, 30, 0 0 2
44.50, 26, 0 6 0
54.99, 22, 1 3 2